[1]
For Mg5Ti, the GGA-PBE geometry in the Materials Project gives the calculated powder diffraction line list in this record (Cu Kα).
Peak positions follow from Bragg's law for the DFT cell and can differ from measured ones.

```
Mg5Ti
1.0
2.691 1.554 5.267
-2.691 1.554 5.267
0.000 -3.107 5.267
Mg Ti
5 1
direct
0.000 0.660 0.340
0.165 0.165 0.165
0.340 0.000 0.660
0.660 0.340 0.000
0.835 0.835 0.835
0.500 0.500 0.500
```

The 12 most intense peaks (2θ = 5–70°), sorted by position:
| d_spacing | I (rel.) |
| --- | --- |
| 5.267 | 28 |
| 4.471 | 65 |
| 4.015 | 39 |
| 3.014 | 14 |
| 2.691 | 244 |
| 2.634 | 292 |
| 2.616 | 18 |
| 2.396 | 1000 |
| 1.882 | 161 |
| 1.554 | 159 |
| 1.470 | 197 |
| 1.346 | 25 |



[2]
For ReCSN2Cl3O2, the GGA-PBE geometry in the Materials Project gives the calculated powder diffraction line list in this record (Cu Kα).
Peak positions follow from Bragg's law for the DFT cell and can differ from measured ones.

```
ReCSN2Cl3O2
1.0
11.601 0.000 0.000
0.000 7.985 0.000
0.000 0.000 13.044
Re C S N Cl O
4 4 4 8 12 8
direct
0.166 0.177 0.000
0.334 0.177 0.500
0.666 0.823 0.000
0.834 0.823 0.500
0.065 0.659 0.743
0.435 0.659 0.243
0.565 0.341 0.743
0.935 0.341 0.243
0.015 0.513 0.197
0.485 0.513 0.697
0.515 0.487 0.197
0.985 0.487 0.697
0.035 0.700 0.836
0.140 0.714 0.677
0.360 0.714 0.177
0.465 0.700 0.336
0.535 0.300 0.836
0.640 0.286 0.677
0.860 0.286 0.177
0.965 0.300 0.336
0.086 0.930 0.061
0.220 0.999 0.403
0.226 0.384 0.423
0.274 0.384 0.923
0.280 0.999 0.903
0.414 0.930 0.561
0.586 0.070 0.061
0.720 0.001 0.403
0.726 0.616 0.423
0.774 0.616 0.923
0.780 0.001 0.903
0.914 0.070 0.561
0.036 0.257 0.959
0.197 0.247 0.121
0.303 0.247 0.621
0.464 0.257 0.459
0.536 0.743 0.959
0.697 0.753 0.121
0.803 0.753 0.621
0.964 0.743 0.459
```

The 12 most intense peaks (2θ = 5–70°), sorted by position:
| d_spacing | I (rel.) |
| --- | --- |
| 6.577 | 996 |
| 6.522 | 804 |
| 5.873 | 470 |
| 5.300 | 820 |
| 5.051 | 443 |
| 4.631 | 1000 |
| 4.416 | 289 |
| 4.334 | 342 |
| 3.479 | 346 |
| 3.363 | 437 |
| 3.189 | 288 |
| 2.717 | 353 |



[3]
For SrO3, the GGA-PBE geometry in the Materials Project gives the calculated powder diffraction line list in this record (Cu Kα).
Peak positions follow from Bragg's law for the DFT cell and can differ from measured ones.

```
SrO3
1.0
3.773 0.000 0.000
0.000 4.794 0.000
0.000 0.000 6.064
Sr O
2 6
direct
0.000 0.209 0.000
0.000 0.791 0.500
0.000 0.300 0.596
0.000 0.700 0.096
0.500 0.126 0.316
0.500 0.318 0.486
0.500 0.682 0.986
0.500 0.874 0.816
```

The 12 most intense peaks (2θ = 5–70°), sorted by position:
| d_spacing | I (rel.) |
| --- | --- |
| 3.767 | 684 |
| 3.032 | 395 |
| 2.664 | 1000 |
| 2.397 | 210 |
| 2.364 | 350 |
| 2.229 | 119 |
| 2.023 | 155 |
| 1.887 | 175 |
| 1.880 | 164 |
| 1.863 | 143 |
| 1.683 | 146 |
| 1.670 | 228 |



[4]
For KU2SbSe8, the GGA-PBE geometry in the Materials Project gives the calculated powder diffraction line list in this record (Cu Kα).
Peak positions follow from Bragg's law for the DFT cell and can differ from measured ones.

```
KU2SbSe8
1.0
4.107 -5.815 0.000
4.107 5.815 0.000
-2.054 0.000 7.476
K U Sb Se
1 2 1 8
direct
0.000 0.000 0.000
0.384 0.884 0.536
0.884 0.384 0.536
0.459 0.459 0.840
0.155 0.155 0.626
0.178 0.480 0.304
0.207 0.693 0.802
0.480 0.178 0.304
0.658 0.658 0.628
0.681 0.964 0.307
0.693 0.207 0.802
0.964 0.681 0.307
```

The 12 most intense peaks (2θ = 5–70°), sorted by position:
| d_spacing | I (rel.) |
| --- | --- |
| 7.476 | 943 |
| 5.815 | 262 |
| 4.590 | 387 |
| 3.170 | 1000 |
| 2.783 | 233 |
| 2.710 | 379 |
| 2.417 | 323 |
| 2.344 | 446 |
| 2.293 | 210 |
| 2.232 | 294 |
| 2.143 | 297 |
| 2.054 | 213 |



> Number 1 is which compound?

Mg5Ti